No. 1
# Nd7Tl2Sn2
Calculated powder diffraction line list, Cu Kα, 1.54184 Å. Input: a DFT-relaxed cell (PBE, Alexandria).

Cell and atoms:
Cell lengths 7.1250, 7.1250, 7.8760 Å; angles 90.00, 90.00, 107.82 degrees
Positions (direct):
Nd: 0.0000 0.0000 0.0000
Nd: 0.0000 0.5000 0.2864
Nd: 0.0000 0.5000 0.7136
Nd: 0.5000 0.0000 0.2864
Nd: 0.5000 0.0000 0.7136
Nd: 0.5000 0.5000 0.2642
Nd: 0.5000 0.5000 0.7358
Tl: 0.1759 0.1759 0.5000
Tl: 0.8241 0.8241 0.5000
Sn: 0.2881 0.7119 0.0000
Sn: 0.7119 0.2881 0.0000

Peak list (10 most intense, 10 to 90 degrees two-theta, by angle)
- 19.1 deg, intensity 194
- 24.0 deg, intensity 464
- 26.2 deg, intensity 429
- 26.3 deg, intensity 221
- 27.4 deg, intensity 198
- 31.1 deg, intensity 615
- 34.3 deg, intensity 414
- 34.9 deg, intensity 1000
- 41.6 deg, intensity 218
- 57.8 deg, intensity 190

---

No. 2
# Pm7Cd2Os2
Calculated powder diffraction line list, Cu Kα, 1.54184 Å. Input: a DFT-relaxed cell (PBE, Alexandria).

Cell and atoms:
Cell lengths 9.6124, 9.6124, 9.6124 Å; angles 156.30, 70.09, 115.15 degrees
Positions (direct):
Pm: 0.0000 0.0000 0.0000
Pm: 0.0537 0.3656 0.6881
Pm: 0.0902 0.7297 0.3606
Pm: 0.3691 0.7297 0.6394
Pm: 0.4371 0.5851 0.8520
Pm: 0.6775 0.3656 0.3119
Pm: 0.7331 0.5851 0.1480
Cd: 0.3648 0.3648 0.0000
Cd: 0.7293 0.2293 0.5000
Os: 0.2720 0.0613 0.2107
Os: 0.8506 0.0613 0.7893

Peak list (10 most intense, 10 to 90 degrees two-theta, by angle)
- 11.2 deg, intensity 192
- 29.0 deg, intensity 363
- 29.7 deg, intensity 167
- 31.1 deg, intensity 256
- 33.3 deg, intensity 1000
- 34.2 deg, intensity 138
- 34.6 deg, intensity 220
- 36.5 deg, intensity 133
- 40.6 deg, intensity 133
- 46.0 deg, intensity 188

---

No. 3
# Rb2MoPdI6
Calculated powder diffraction line list, Cu Kα, 1.54184 Å. Input: a DFT-relaxed cell (PBE, Alexandria).

Cell and atoms:
Cell lengths 8.1105, 8.1105, 8.1105 Å; angles 119.83, 119.83, 90.29 degrees
Positions (direct):
Rb: 0.2500 0.7500 0.5000
Rb: 0.7500 0.2500 0.5000
Mo: 0.0000 0.0000 0.0000
Pd: 0.5000 0.5000 0.0000
I: 0.2468 0.2468 0.4936
I: 0.2468 0.7532 0.0000
I: 0.2482 0.2482 0.0000
I: 0.7518 0.7518 0.0000
I: 0.7532 0.2468 0.0000
I: 0.7532 0.7532 0.5064

Peak list (10 most intense, 10 to 90 degrees two-theta, by angle)
- 15.4 deg, intensity 449
- 26.9 deg, intensity 1000
- 31.1 deg, intensity 850
- 31.3 deg, intensity 419
- 44.6 deg, intensity 309
- 44.7 deg, intensity 613
- 52.8 deg, intensity 299
- 55.5 deg, intensity 320
- 73.7 deg, intensity 273
- 82.2 deg, intensity 207

---

No. 4
# Nd2Zn15Tc2
Calculated powder diffraction line list, Cu Kα, 1.54184 Å. Input: a DFT-relaxed cell (PBE, Alexandria).

Cell and atoms:
Cell lengths 6.8170, 6.8170, 6.8170 Å; angles 83.48, 83.48, 83.48 degrees
Positions (direct):
Nd: 0.1593 0.1593 0.1593
Nd: 0.8407 0.8407 0.8407
Zn: 0.0000 0.5000 0.5000
Zn: 0.1540 0.1540 0.6503
Zn: 0.1540 0.6503 0.1540
Zn: 0.2106 0.5000 0.7894
Zn: 0.2106 0.7894 0.5000
Zn: 0.3497 0.8460 0.8460
Zn: 0.5000 0.0000 0.5000
Zn: 0.5000 0.2106 0.7894
Zn: 0.5000 0.5000 0.0000
Zn: 0.5000 0.7894 0.2106
Zn: 0.6503 0.1540 0.1540
Zn: 0.7894 0.2106 0.5000
Zn: 0.7894 0.5000 0.2106
Zn: 0.8460 0.3497 0.8460
Zn: 0.8460 0.8460 0.3497
Tc: 0.4090 0.4090 0.4090
Tc: 0.5910 0.5910 0.5910

Peak list (10 most intense, 10 to 90 degrees two-theta, by angle)
- 28.4 deg, intensity 288
- 34.2 deg, intensity 452
- 35.7 deg, intensity 317
- 39.7 deg, intensity 736
- 40.2 deg, intensity 1000
- 41.4 deg, intensity 509
- 45.0 deg, intensity 326
- 46.2 deg, intensity 181
- 72.1 deg, intensity 201
- 74.7 deg, intensity 171

---

No. 5
# Ac3Pm2Y8
Calculated powder diffraction line list, Cu Kα, 1.54184 Å. Input: a DFT-relaxed cell (PBE, Alexandria).

Cell and atoms:
Cell lengths 11.8846, 21.7614, 3.6215 Å; angles 90.00, 90.00, 90.00 degrees
Positions (direct):
Ac: 0.0000 0.0000 0.0000
Ac: 0.1449 0.2996 0.0000
Ac: 0.3551 0.7996 0.0000
Ac: 0.5000 0.5000 0.0000
Ac: 0.6449 0.2004 0.0000
Ac: 0.8551 0.7004 0.0000
Pm: 0.1809 0.9041 0.5000
Pm: 0.3191 0.4041 0.5000
Pm: 0.6809 0.5959 0.5000
Pm: 0.8191 0.0959 0.5000
Y: 0.0440 0.4310 0.5000
Y: 0.0499 0.1590 0.0000
Y: 0.1366 0.7052 0.5000
Y: 0.2056 0.5521 0.0000
Y: 0.2944 0.0521 0.0000
Y: 0.3634 0.2052 0.5000
Y: 0.4501 0.6590 0.0000
Y: 0.4560 0.9310 0.5000
Y: 0.5440 0.0690 0.5000
Y: 0.5499 0.3410 0.0000
Y: 0.6366 0.7948 0.5000
Y: 0.7056 0.9479 0.0000
Y: 0.7944 0.4479 0.0000
Y: 0.8634 0.2948 0.5000
Y: 0.9501 0.8410 0.0000
Y: 0.9560 0.5690 0.5000

Peak list (10 most intense, 10 to 90 degrees two-theta, by angle)
- 11.0 deg, intensity 256
- 29.2 deg, intensity 452
- 29.7 deg, intensity 370
- 30.6 deg, intensity 1000
- 31.2 deg, intensity 206
- 32.6 deg, intensity 201
- 33.8 deg, intensity 487
- 35.0 deg, intensity 192
- 55.1 deg, intensity 137
- 60.1 deg, intensity 160

---

No. 6
# BePSeO2
Calculated powder diffraction line list, Cu Kα, 1.54184 Å. Input: a DFT-relaxed cell (PBE, Alexandria).

Cell and atoms:
Cell lengths 3.3613, 3.3613, 6.7950 Å; angles 90.00, 90.00, 90.00 degrees
Positions (direct):
Be: 0.0000 0.0000 0.0000
P: 0.0000 0.0000 0.5000
Se: 0.5000 0.5000 0.5000
O: 0.0000 0.5000 0.0000
O: 0.5000 0.0000 0.0000

Peak list (10 most intense, 10 to 90 degrees two-theta, by angle)
- 13.0 deg, intensity 1000
- 26.2 deg, intensity 974
- 26.5 deg, intensity 136
- 29.7 deg, intensity 360
- 37.9 deg, intensity 213
- 40.2 deg, intensity 955
- 46.6 deg, intensity 241
- 54.6 deg, intensity 212
- 56.1 deg, intensity 329
- 61.6 deg, intensity 288

---

No. 7
# Pr2YTm
Calculated powder diffraction line list, Cu Kα, 1.54184 Å. Input: a DFT-relaxed cell (PBE, Alexandria).

Cell and atoms:
Cell lengths 5.8250, 7.3939, 6.3327 Å; angles 90.00, 90.00, 90.00 degrees
Positions (direct):
Pr: 0.2500 0.0006 0.1699
Pr: 0.2500 0.4994 0.1699
Pr: 0.7500 0.5006 0.8301
Pr: 0.7500 0.9994 0.8301
Y: 0.2500 0.2500 0.6628
Y: 0.7500 0.7500 0.3372
Tm: 0.2500 0.7500 0.6662
Tm: 0.7500 0.2500 0.3338

Peak list (10 most intense, 10 to 90 degrees two-theta, by angle)
- 27.9 deg, intensity 230
- 28.2 deg, intensity 120
- 30.7 deg, intensity 379
- 32.0 deg, intensity 1000
- 32.2 deg, intensity 481
- 42.0 deg, intensity 153
- 49.7 deg, intensity 191
- 55.4 deg, intensity 209
- 59.6 deg, intensity 221
- 60.1 deg, intensity 160

---

No. 8
# CaMg2HgO
Calculated powder diffraction line list, Cu Kα, 1.54184 Å. Input: a DFT-relaxed cell (PBE, Alexandria).

Cell and atoms:
Cell lengths 4.3824, 4.3824, 4.8415 Å; angles 90.00, 90.00, 90.00 degrees
Positions (direct):
Ca: 0.0000 0.0000 0.0000
Mg: 0.0000 0.5000 0.5000
Mg: 0.5000 0.0000 0.5000
Hg: 0.5000 0.5000 0.0000
O: 0.0000 0.0000 0.5000

Peak list (10 most intense, 10 to 90 degrees two-theta, by angle)
- 18.3 deg, intensity 438
- 20.3 deg, intensity 440
- 27.5 deg, intensity 701
- 28.8 deg, intensity 445
- 34.4 deg, intensity 1000
- 37.1 deg, intensity 253
- 41.2 deg, intensity 378
- 50.2 deg, intensity 277
- 56.7 deg, intensity 289
- 70.7 deg, intensity 249

---

No. 9
# Y2In8Pd
Calculated powder diffraction line list, Cu Kα, 1.54184 Å. Input: a DFT-relaxed cell (PBE, Alexandria).

Cell and atoms:
Cell lengths 4.6876, 4.6876, 12.1175 Å; angles 90.00, 90.00, 90.00 degrees
Positions (direct):
Y: 0.0000 0.0000 0.1888
Y: 0.0000 0.0000 0.8112
In: 0.0000 0.5000 0.0000
In: 0.0000 0.5000 0.3734
In: 0.0000 0.5000 0.6266
In: 0.5000 0.0000 0.0000
In: 0.5000 0.0000 0.3734
In: 0.5000 0.0000 0.6266
In: 0.5000 0.5000 0.1914
In: 0.5000 0.5000 0.8086
Pd: 0.0000 0.0000 0.5000

Peak list (10 most intense, 10 to 90 degrees two-theta, by angle)
- 30.7 deg, intensity 224
- 35.0 deg, intensity 1000
- 37.1 deg, intensity 133
- 38.4 deg, intensity 519
- 40.3 deg, intensity 83
- 54.5 deg, intensity 169
- 55.4 deg, intensity 173
- 67.3 deg, intensity 306
- 68.1 deg, intensity 122
- 68.6 deg, intensity 83

---

No. 10
# La3GaOs
Calculated powder diffraction line list, Cu Kα, 1.54184 Å. Input: a DFT-relaxed cell (PBE, Alexandria).

Cell and atoms:
Cell lengths 6.2414, 6.4794, 8.3528 Å; angles 74.11, 85.33, 64.84 degrees
Positions (direct):
La: 0.0397 0.1664 0.1362
La: 0.2985 0.1989 0.6617
La: 0.3903 0.4760 0.2248
La: 0.6097 0.5240 0.7752
La: 0.7015 0.8011 0.3383
La: 0.9603 0.8336 0.8638
Ga: 0.1813 0.7934 0.4967
Ga: 0.8187 0.2066 0.5033
Os: 0.4199 0.8624 0.9726
Os: 0.5801 0.1376 0.0274

Peak list (10 most intense, 10 to 90 degrees two-theta, by angle)
- 11.0 deg, intensity 826
- 15.7 deg, intensity 615
- 26.9 deg, intensity 422
- 29.8 deg, intensity 941
- 30.5 deg, intensity 1000
- 31.5 deg, intensity 587
- 33.6 deg, intensity 451
- 33.6 deg, intensity 588
- 38.0 deg, intensity 422
- 47.5 deg, intensity 426